Entry 1:
Calculated powder XRD pattern of CaH for Cu Kα (weighted mean of Kα1 and Kα2), from a structure optimized by DFT (GGA-PBE).
Neutral-atom scattering factors, no anomalous dispersion.

Peak list (12 most intense, 10 to 90 degrees two-theta, most intense first)
- d = 3.068 Å, 29.1 deg, rel. 100, hkl 0 1 1
- d = 3.033 Å, 29.5 deg, rel. 97, hkl 1 0 1
- d = 2.697 Å, 33.2 deg, rel. 73, hkl 1 1 0
- d = 1.849 Å, 49.3 deg, rel. 42, hkl 1 1 2
- d = 2.541 Å, 35.3 deg, rel. 28, hkl 0 0 2
- d = 1.625 Å, 56.7 deg, rel. 26, hkl 1 2 1
- d = 1.609 Å, 57.3 deg, rel. 25, hkl 2 1 1
- d = 1.924 Å, 47.2 deg, rel. 13, hkl 0 2 0
- d = 1.890 Å, 48.1 deg, rel. 12, hkl 2 0 0
- d = 1.198 Å, 80.1 deg, rel. 12, hkl 3 1 0
- d = 1.534 Å, 60.3 deg, rel. 10, hkl 0 2 2
- d = 1.516 Å, 61.1 deg, rel. 10, hkl 2 0 2

Cell and atoms:
```
data_CaH
_chemical_formula_sum 'Ca2 H2'
_symmetry_space_group_name_H-M 'P m m 2'
_symmetry_Int_Tables_number 25
_cell_length_a 3.7797
_cell_length_b 3.8483
_cell_length_c 5.0812
_cell_angle_alpha 90.00
_cell_angle_beta 90.00
_cell_angle_gamma 90.00
loop_
_symmetry_equiv_pos_as_xyz
'x,y,z'
'-x,-y,z'
'-x,y,z'
'x,-y,z'
loop_
_atom_site_label
_atom_site_type_symbol
_atom_site_fract_x
_atom_site_fract_y
_atom_site_fract_z
Ca1 Ca 0.0000 0.0000 0.0000
Ca2 Ca 0.5000 0.5000 0.4592
H1 H 0.5000 0.0000 0.2388
H2 H 0.5000 0.5000 0.9511
```

=====

Entry 2:
Calculated powder XRD pattern of YZrFeOs for Cu Kα (weighted mean of Kα1 and Kα2), from a structure optimized by DFT (GGA-PBE).
Neutral-atom scattering factors, no anomalous dispersion.

Peak list (12 most intense, 10 to 90 degrees two-theta, most intense first)
- d = 2.339 Å, 38.5 deg, rel. 100, hkl 2 2 0
- d = 1.350 Å, 69.6 deg, rel. 34, hkl 4 2 2
- d = 3.819 Å, 23.3 deg, rel. 21, hkl 1 1 1
- d = 1.654 Å, 55.6 deg, rel. 17, hkl 4 0 0
- d = 1.995 Å, 45.5 deg, rel. 11, hkl 3 1 1
- d = 1.169 Å, 82.5 deg, rel. 11, hkl 4 4 0
- d = 1.518 Å, 61.1 deg, rel. 5, hkl 3 3 1
- d = 1.118 Å, 87.2 deg, rel. 4, hkl 5 3 1
- d = 1.273 Å, 74.5 deg, rel. 4, hkl 5 1 1
- d = 3.308 Å, 27.0 deg, rel. 2, hkl 2 0 0
- d = 1.479 Å, 62.8 deg, rel. 1, hkl 4 2 0
- d = 1.910 Å, 47.6 deg, rel. 1, hkl 2 2 2

Cell and atoms:
```
data_YZrFeOs
_chemical_formula_sum 'Y4 Zr4 Fe4 Os4'
_symmetry_space_group_name_H-M 'F -4 3 m'
_symmetry_Int_Tables_number 216
_symmetry_space_group_name_Hall 'F -4 2 3'
_cell_length_a 6.6150
_cell_length_b 6.6150
_cell_length_c 6.6150
_cell_angle_alpha 90.00
_cell_angle_beta 90.00
_cell_angle_gamma 90.00
loop_
_atom_site_label
_atom_site_type_symbol
_atom_site_fract_x
_atom_site_fract_y
_atom_site_fract_z
Y1 Y 0.0000 0.0000 0.0000
Zr1 Zr 0.0000 0.0000 0.5000
Fe1 Fe 0.2500 0.2500 0.7500
Os1 Os 0.2500 0.2500 0.2500
```

=====

Entry 3:
Calculated powder XRD pattern of Al2V4B for Cu Kα (weighted mean of Kα1 and Kα2), from a structure optimized by DFT (GGA-PBE).
Neutral-atom scattering factors, no anomalous dispersion.

Peak list (12 most intense, 10 to 90 degrees two-theta, most intense first)
- d = 2.129 Å, 42.5 deg, rel. 100, hkl 1 1 4
- d = 2.558 Å, 35.1 deg, rel. 81, hkl 1 1 2
- d = 1.960 Å, 46.3 deg, rel. 58, hkl 2 0 0
- d = 6.653 Å, 13.3 deg, rel. 41, hkl 0 0 2
- d = 2.218 Å, 40.7 deg, rel. 35, hkl 0 0 6
- d = 1.468 Å, 63.3 deg, rel. 34, hkl 2 0 6
- d = 1.161 Å, 83.2 deg, rel. 24, hkl 3 1 4
- d = 1.386 Å, 67.6 deg, rel. 17, hkl 2 2 0
- d = 1.199 Å, 80.0 deg, rel. 16, hkl 1 1 10
- d = 1.175 Å, 82.0 deg, rel. 15, hkl 2 2 6
- d = 1.218 Å, 78.5 deg, rel. 13, hkl 3 1 2
- d = 3.759 Å, 23.7 deg, rel. 11, hkl 1 0 1

Cell and atoms:
```
data_Al2V4B
_chemical_formula_sum 'Al4 V8 B2'
_symmetry_space_group_name_H-M 'I 4/m m m'
_symmetry_Int_Tables_number 139
_symmetry_space_group_name_Hall '-I 4 2'
_cell_length_a 3.9192
_cell_length_b 3.9192
_cell_length_c 13.3057
_cell_angle_alpha 90.00
_cell_angle_beta 90.00
_cell_angle_gamma 90.00
loop_
_atom_site_label
_atom_site_type_symbol
_atom_site_fract_x
_atom_site_fract_y
_atom_site_fract_z
Al1 Al 0.0000 0.0000 0.1428
V1 V 0.0000 0.0000 0.3432
V2 V 0.0000 0.5000 0.0000
B1 B 0.0000 0.0000 0.5000
```

=====

Entry 4:
Calculated powder XRD pattern of CaAcI2O for Cu Kα (weighted mean of Kα1 and Kα2), from a structure optimized by DFT (GGA-PBE).
Neutral-atom scattering factors, no anomalous dispersion.

Peak list (12 most intense, 10 to 90 degrees two-theta, most intense first)
- d = 3.172 Å, 28.1 deg, rel. 100, hkl 1 0 4
- d = 3.013 Å, 29.6 deg, rel. 65, hkl 1 1 0
- d = 3.535 Å, 25.2 deg, rel. 48, hkl 1 0 3
- d = 2.543 Å, 35.3 deg, rel. 38, hkl 1 0 6
- d = 1.769 Å, 51.7 deg, rel. 37, hkl 2 1 4
- d = 2.131 Å, 42.4 deg, rel. 28, hkl 2 0 0
- d = 1.825 Å, 50.0 deg, rel. 16, hkl 2 1 3
- d = 4.749 Å, 18.7 deg, rel. 14, hkl 0 0 4
- d = 2.017 Å, 45.0 deg, rel. 12, hkl 1 1 7
- d = 1.633 Å, 56.3 deg, rel. 12, hkl 2 1 6
- d = 1.348 Å, 69.8 deg, rel. 11, hkl 3 1 0
- d = 1.729 Å, 53.0 deg, rel. 11, hkl 1 1 9

Cell and atoms:
```
data_CaAcI2O
_chemical_formula_sum 'Ca2 Ac2 I4 O2'
_symmetry_space_group_name_H-M 'P 4/n m m'
_symmetry_Int_Tables_number 129
_cell_length_a 4.2616
_cell_length_b 4.2616
_cell_length_c 18.9950
_cell_angle_alpha 90.00
_cell_angle_beta 90.00
_cell_angle_gamma 90.00
loop_
_symmetry_equiv_pos_as_xyz
'x,y,z'
'-x,-y,-z'
'-y+1/2,x,z'
'y+1/2,-x,-z'
'-x+1/2,-y+1/2,z'
'x+1/2,y+1/2,-z'
'y,-x+1/2,z'
'-y,x+1/2,-z'
'x+1/2,-y,-z'
'-x+1/2,y,z'
'-y,-x,-z'
'y,x,z'
'-x,y+1/2,-z'
'x,-y+1/2,z'
'y+1/2,x+1/2,-z'
'-y+1/2,-x+1/2,z'
loop_
_atom_site_label
_atom_site_type_symbol
_atom_site_fract_x
_atom_site_fract_y
_atom_site_fract_z
Ca1 Ca 0.2500 0.2500 0.0629
Ac1 Ac 0.2500 0.2500 0.5669
I1 I 0.2500 0.2500 0.3304
I2 I 0.2500 0.2500 0.8649
O1 O 0.2500 0.7500 0.5000
```

=====

Entry 5:
Calculated powder XRD pattern of Nd2Zn5Pt5 for Cu Kα (weighted mean of Kα1 and Kα2), from a structure optimized by DFT (GGA-PBE).
Neutral-atom scattering factors, no anomalous dispersion.

Peak list (12 most intense, 10 to 90 degrees two-theta, most intense first)
- d = 2.300 Å, 39.2 deg, rel. 100, hkl 1 1 3
- d = 2.272 Å, 39.7 deg, rel. 33, hkl 1 2 0
- d = 2.163 Å, 41.8 deg, rel. 33, hkl 2 0 0
- d = 2.715 Å, 33.0 deg, rel. 28, hkl 0 1 3
- d = 1.459 Å, 63.8 deg, rel. 24, hkl 1 3 3
- d = 2.669 Å, 33.6 deg, rel. 24, hkl 0 2 0
- d = 2.048 Å, 44.2 deg, rel. 20, hkl 1 2 2
- d = 4.649 Å, 19.1 deg, rel. 19, hkl 0 1 1
- d = 4.327 Å, 20.5 deg, rel. 19, hkl 1 0 0
- d = 1.150 Å, 84.2 deg, rel. 16, hkl 2 2 6
- d = 1.274 Å, 74.5 deg, rel. 15, hkl 3 1 3
- d = 1.692 Å, 54.2 deg, rel. 14, hkl 2 1 3

Cell and atoms:
```
data_Nd2Zn5Pt5
_chemical_formula_sum 'Nd2 Zn5 Pt5'
_symmetry_space_group_name_H-M 'P m m m'
_symmetry_Int_Tables_number 47
_cell_length_a 4.3266
_cell_length_b 5.3380
_cell_length_c 9.4586
_cell_angle_alpha 90.00
_cell_angle_beta 90.00
_cell_angle_gamma 90.00
loop_
_symmetry_equiv_pos_as_xyz
'x,y,z'
'-x,-y,-z'
'-x,-y,z'
'x,y,-z'
'x,-y,-z'
'-x,y,z'
'-x,y,-z'
'x,-y,z'
loop_
_atom_site_label
_atom_site_type_symbol
_atom_site_fract_x
_atom_site_fract_y
_atom_site_fract_z
Nd1 Nd 0.0000 0.0000 0.0000
Nd2 Nd 0.0000 0.5000 0.5000
Zn1 Zn 0.5000 0.0000 0.5000
Zn2 Zn 0.5000 0.2511 0.2497
Pt1 Pt 0.0000 0.0000 0.3329
Pt2 Pt 0.0000 0.5000 0.1783
Pt3 Pt 0.5000 0.5000 0.0000
```

=====

Entry 6:
Calculated powder XRD pattern of SmPa2Mn9 for Cu Kα (weighted mean of Kα1 and Kα2), from a structure optimized by DFT (GGA-PBE).
Neutral-atom scattering factors, no anomalous dispersion.

Peak list (12 most intense, 10 to 90 degrees two-theta, most intense first)
- d = 2.126 Å, 42.5 deg, rel. 100, hkl 2 1 2
- d = 2.365 Å, 38.0 deg, rel. 73, hkl 3 1 1
- d = 3.040 Å, 29.4 deg, rel. 40, hkl 2 1 1
- d = 2.576 Å, 34.8 deg, rel. 28, hkl 0 0 2
- d = 2.663 Å, 33.7 deg, rel. 26, hkl 3 1 0
- d = 3.766 Å, 23.6 deg, rel. 24, hkl 2 1 0
- d = 5.149 Å, 17.2 deg, rel. 24, hkl 0 0 1
- d = 1.337 Å, 70.4 deg, rel. 16, hkl 5 2 2
- d = 1.443 Å, 64.6 deg, rel. 16, hkl 3 1 3
- d = 1.384 Å, 67.7 deg, rel. 14, hkl 3 2 3
- d = 1.949 Å, 46.6 deg, rel. 12, hkl 4 0 1
- d = 1.390 Å, 67.4 deg, rel. 11, hkl 5 1 2

Cell and atoms:
```
data_SmPa2Mn9
_chemical_formula_sum 'Sm2 Pa4 Mn18'
_symmetry_space_group_name_H-M 'P 4/m b m'
_symmetry_Int_Tables_number 127
_symmetry_space_group_name_Hall '-P 4 2ab'
_cell_length_a 8.4213
_cell_length_b 8.4213
_cell_length_c 5.1494
_cell_angle_alpha 90.00
_cell_angle_beta 90.00
_cell_angle_gamma 90.00
loop_
_atom_site_label
_atom_site_type_symbol
_atom_site_fract_x
_atom_site_fract_y
_atom_site_fract_z
Sm1 Sm 0.0000 0.0000 0.0000
Pa1 Pa 0.1273 0.3727 0.0000
Mn1 Mn 0.0000 0.5000 0.5000
Mn2 Mn 0.0716 0.2082 0.5000
Mn3 Mn 0.1773 0.6773 0.2512
```

=====

Entry 7:
Calculated powder XRD pattern of TmAg for Cu Kα (weighted mean of Kα1 and Kα2), from a structure optimized by DFT (GGA-PBE).
Neutral-atom scattering factors, no anomalous dispersion.

Peak list (9 most intense, 10 to 90 degrees two-theta, most intense first)
- d = 2.537 Å, 35.4 deg, rel. 100, hkl 1 1 0
- d = 1.465 Å, 63.5 deg, rel. 36, hkl 2 1 1
- d = 1.794 Å, 50.9 deg, rel. 18, hkl 2 0 0
- d = 1.135 Å, 85.6 deg, rel. 16, hkl 3 1 0
- d = 1.269 Å, 74.8 deg, rel. 11, hkl 2 2 0
- d = 3.588 Å, 24.8 deg, rel. 5, hkl 1 0 0
- d = 1.605 Å, 57.4 deg, rel. 2, hkl 2 1 0
- d = 2.072 Å, 43.7 deg, rel. 2, hkl 1 1 1
- d = 1.196 Å, 80.3 deg, rel. 1, hkl 3 0 0

Cell and atoms:
```
data_TmAg
_chemical_formula_sum 'Tm1 Ag1'
_symmetry_space_group_name_H-M 'P m -3 m'
_symmetry_Int_Tables_number 221
_symmetry_space_group_name_Hall '-P 4 2 3'
_cell_length_a 3.5883
_cell_length_b 3.5883
_cell_length_c 3.5883
_cell_angle_alpha 90.00
_cell_angle_beta 90.00
_cell_angle_gamma 90.00
loop_
_atom_site_label
_atom_site_type_symbol
_atom_site_fract_x
_atom_site_fract_y
_atom_site_fract_z
Tm1 Tm 0.0000 0.0000 0.0000
Ag1 Ag 0.5000 0.5000 0.5000
```

=====

Entry 8:
Calculated powder XRD pattern of AcYHoTl for Cu Kα (weighted mean of Kα1 and Kα2), from a structure optimized by DFT (GGA-PBE).
Neutral-atom scattering factors, no anomalous dispersion.

Peak list (12 most intense, 10 to 90 degrees two-theta, most intense first)
- d = 2.814 Å, 31.8 deg, rel. 100, hkl 2 2 0
- d = 1.625 Å, 56.6 deg, rel. 39, hkl 4 2 2
- d = 1.990 Å, 45.6 deg, rel. 19, hkl 4 0 0
- d = 1.259 Å, 75.5 deg, rel. 17, hkl 6 2 0
- d = 1.407 Å, 66.4 deg, rel. 12, hkl 4 4 0
- d = 3.980 Å, 22.3 deg, rel. 7, hkl 2 0 0
- d = 1.149 Å, 84.3 deg, rel. 4, hkl 4 4 4
- d = 1.780 Å, 51.3 deg, rel. 3, hkl 4 2 0
- d = 4.596 Å, 19.3 deg, rel. 3, hkl 1 1 1
- d = 2.298 Å, 39.2 deg, rel. 2, hkl 2 2 2
- d = 1.327 Å, 71.1 deg, rel. 2, hkl 6 0 0
- d = 2.400 Å, 37.5 deg, rel. 2, hkl 3 1 1

Cell and atoms:
```
data_AcYHoTl
_chemical_formula_sum 'Ac4 Y4 Ho4 Tl4'
_symmetry_space_group_name_H-M 'F -4 3 m'
_symmetry_Int_Tables_number 216
_symmetry_space_group_name_Hall 'F -4 2 3'
_cell_length_a 7.9599
_cell_length_b 7.9599
_cell_length_c 7.9599
_cell_angle_alpha 90.00
_cell_angle_beta 90.00
_cell_angle_gamma 90.00
loop_
_atom_site_label
_atom_site_type_symbol
_atom_site_fract_x
_atom_site_fract_y
_atom_site_fract_z
Ac1 Ac 0.0000 0.0000 0.0000
Y1 Y 0.2500 0.2500 0.7500
Ho1 Ho 0.2500 0.2500 0.2500
Tl1 Tl 0.0000 0.0000 0.5000
```